Record 1
# HgH2C6N2Cl4
Calculated powder diffraction line list, Cu Kα, 1.54184 Å. Input: a DFT-relaxed cell (GGA-PBE, the Materials Project).

Cell and atoms:
Cell lengths 6.6090, 10.9784, 20.9687 Å; angles 90.00, 100.81, 90.00 degrees
Fractional positions:
Hg1 0.1229 0.2345 0.3314
Hg2 0.1229 0.2655 0.8314
Hg3 0.8771 0.7345 0.1686
Hg4 0.8771 0.7655 0.6686
H1 0.3886 0.6507 0.6659
H2 0.3886 0.8493 0.1659
H3 0.4406 0.7347 0.0502
H4 0.4406 0.7653 0.5502
H5 0.5594 0.2347 0.4498
H6 0.5594 0.2653 0.9498
H7 0.6114 0.1507 0.8341
H8 0.6114 0.3493 0.3341
C1 0.0058 0.7408 0.9491
C2 0.0058 0.7592 0.4491
C3 0.2083 0.7482 0.4573
C4 0.2083 0.7518 0.9573
C5 0.4187 0.0518 0.6723
C6 0.4187 0.4482 0.1723
C7 0.4353 0.7365 0.4437
C8 0.4353 0.7635 0.9437
C9 0.4455 0.0241 0.7326
C10 0.4455 0.4759 0.2326
C11 0.4612 0.0545 0.1538
C12 0.4612 0.4455 0.6538
C13 0.5388 0.5545 0.3462
C14 0.5388 0.9455 0.8462
C15 0.5545 0.5241 0.7674
C16 0.5545 0.9759 0.2674
C17 0.5647 0.2365 0.0563
C18 0.5647 0.2635 0.5563
C19 0.5813 0.5518 0.8277
C20 0.5813 0.9482 0.3277
C21 0.7917 0.2482 0.0427
C22 0.7917 0.2518 0.5427
C23 0.9942 0.2408 0.5509
C24 0.9942 0.2592 0.0509
N1 0.3944 0.7484 0.0010
N2 0.3944 0.7516 0.5010
N3 0.5002 0.0214 0.2099
N4 0.5002 0.4786 0.7099
N5 0.4998 0.5214 0.2901
N6 0.4998 0.9786 0.7901
N7 0.6056 0.2484 0.4990
N8 0.6056 0.2516 0.9990
Cl1 0.0530 0.2026 0.7214
Cl2 0.0530 0.2974 0.2214
Cl3 0.1932 0.0974 0.4204
Cl4 0.1932 0.4026 0.9204
Cl5 0.2093 0.0765 0.9119
Cl6 0.2093 0.4235 0.4119
Cl7 0.3670 0.7323 0.1583
Cl8 0.3670 0.7677 0.6583
Cl9 0.6330 0.2323 0.3417
Cl10 0.6330 0.2677 0.8417
Cl11 0.7907 0.5765 0.5881
Cl12 0.7907 0.9235 0.0881
Cl13 0.8068 0.5974 0.0796
Cl14 0.8068 0.9026 0.5796
Cl15 0.9470 0.7026 0.7786
Cl16 0.9470 0.7974 0.2786

Principal peaks in the range 10° ≤ 2θ ≤ 90°, in order of rising 2θ:
2θ (°)	Rel. int.
11.78	100.0
14.70	35.0
15.86	24.0
16.15	37.4
19.04	26.5
19.26	28.0
21.90	28.9
27.21	21.7
28.68	29.7
29.96	26.0

Record 2
# LaBO3
Calculated powder diffraction line list, Cu Kα, 1.54184 Å. Input: a DFT-relaxed cell (GGA-PBE, the Materials Project).

Cell and atoms:
Cell lengths 4.1882, 5.1307, 6.4276 Å; angles 90.00, 108.31, 90.00 degrees
Fractional positions:
La1 0.1167 0.2500 0.2762
La2 0.8833 0.7500 0.7238
B1 0.4988 0.2500 0.7538
B2 0.5012 0.7500 0.2462
O1 0.1715 0.7500 0.1114
O2 0.3430 0.0173 0.6712
O3 0.3430 0.4827 0.6712
O4 0.6570 0.5173 0.3288
O5 0.6570 0.9827 0.3288
O6 0.8285 0.2500 0.8886

Principal peaks in the range 10° ≤ 2θ ≤ 90°, in order of rising 2θ:
2θ (°)	Rel. int.
22.36	27.5
22.53	22.3
22.64	100.0
28.40	29.4
28.54	83.2
29.27	51.7
34.98	22.4
41.95	40.1
46.79	31.1
47.04	22.7

Record 3
# KAg2SbS3
Calculated powder diffraction line list, Cu Kα, 1.54184 Å. Input: a DFT-relaxed cell (GGA-PBE, the Materials Project).

Cell and atoms:
Cell lengths 6.8601, 9.5656, 11.0786 Å; angles 90.83, 92.65, 90.55 degrees
Fractional positions:
K1 0.1995 0.4232 0.1280
K2 0.2995 0.5721 0.6340
K3 0.7005 0.4279 0.3660
K4 0.8005 0.5768 0.8720
Ag1 0.0244 0.1028 0.3441
Ag2 0.0835 0.8386 0.0470
Ag3 0.4081 0.1588 0.5438
Ag4 0.4829 0.2646 0.8584
Ag5 0.5171 0.7354 0.1416
Ag6 0.5919 0.8412 0.4562
Ag7 0.9165 0.1614 0.9530
Ag8 0.9756 0.8972 0.6559
Sb1 0.0493 0.7919 0.3456
Sb2 0.4641 0.9440 0.8518
Sb3 0.5359 0.0560 0.1482
Sb4 0.9507 0.2081 0.6544
S1 0.1139 0.3117 0.4814
S2 0.1210 0.3327 0.8285
S3 0.1751 0.0845 0.1401
S4 0.3560 0.7120 0.9264
S5 0.3579 0.6605 0.3368
S6 0.3597 0.9132 0.6370
S7 0.6403 0.0868 0.3630
S8 0.6421 0.3395 0.6632
S9 0.6440 0.2880 0.0736
S10 0.8249 0.9155 0.8599
S11 0.8790 0.6673 0.1715
S12 0.8861 0.6883 0.5186

Principal peaks in the range 10° ≤ 2θ ≤ 90°, in order of rising 2θ:
2θ (°)	Rel. int.
26.01	68.3
26.90	76.6
27.59	62.7
28.00	83.9
28.44	100.0
29.03	92.2
29.71	64.5
32.37	45.5
35.62	40.1
45.42	45.6

Record 4
# Na5C3N6
Calculated powder diffraction line list, Cu Kα, 1.54184 Å. Input: a DFT-relaxed cell (GGA-PBE, the Materials Project).

Cell and atoms:
Cell lengths 6.2785, 6.2785, 6.2785 Å; angles 109.47, 109.47, 109.47 degrees
Fractional positions:
Na1 0.0000 0.0000 0.0000
Na2 0.0000 0.0000 0.5000
Na3 0.0000 0.5000 0.0000
Na4 0.5000 0.0000 0.0000
Na5 0.5000 0.5000 0.5000
C1 0.0000 0.5000 0.5000
C2 0.5000 0.0000 0.5000
C3 0.5000 0.5000 0.0000
N1 0.0000 0.3291 0.3291
N2 0.0000 0.6709 0.6709
N3 0.3291 0.0000 0.3291
N4 0.3291 0.3291 0.0000
N5 0.6709 0.0000 0.6709
N6 0.6709 0.6709 0.0000

Principal peaks in the range 10° ≤ 2θ ≤ 90°, in order of rising 2θ:
2θ (°)	Rel. int.
17.30	4.5
30.20	11.1
35.01	100.0
39.30	18.1
43.23	11.3
50.35	25.2
53.64	8.9
62.79	18.0
73.96	8.8
84.53	15.7

Record 5
# SrCu9Sn4
Calculated powder diffraction line list, Cu Kα, 1.54184 Å. Input: a DFT-relaxed cell (GGA-PBE, the Materials Project).

Cell and atoms:
Cell lengths 8.7978, 8.7978, 8.7978 Å; angles 120.77, 120.77, 88.68 degrees
Fractional positions:
Sr1 0.2500 0.2500 0.0000
Sr2 0.7500 0.7500 0.0000
Cu1 0.0000 0.5000 0.5000
Cu2 0.0561 0.7973 0.8534
Cu3 0.0656 0.5656 0.2822
Cu4 0.2027 0.0561 0.2589
Cu5 0.2166 0.9344 0.5000
Cu6 0.2834 0.7834 0.7178
Cu7 0.2973 0.5561 0.8534
Cu8 0.4344 0.7166 0.5000
Cu9 0.4439 0.2973 0.7411
Cu10 0.5000 0.0000 0.5000
Cu11 0.5561 0.7027 0.2589
Cu12 0.5656 0.2834 0.5000
Cu13 0.7027 0.4439 0.1466
Cu14 0.7166 0.2166 0.2822
Cu15 0.7834 0.0656 0.5000
Cu16 0.7973 0.9439 0.7411
Cu17 0.9344 0.4344 0.7178
Cu18 0.9439 0.2027 0.1466
Sn1 0.0593 0.1904 0.5000
Sn2 0.1904 0.6904 0.1311
Sn3 0.3096 0.4407 0.5000
Sn4 0.4407 0.9407 0.1311
Sn5 0.5593 0.0593 0.8689
Sn6 0.6904 0.5593 0.5000
Sn7 0.8096 0.3096 0.8689
Sn8 0.9407 0.8096 0.5000

Principal peaks in the range 10° ≤ 2θ ≤ 90°, in order of rising 2θ:
2θ (°)	Rel. int.
14.40	32.1
31.95	22.1
35.21	70.7
35.63	57.0
42.80	64.7
43.27	73.2
43.51	100.0
43.72	28.1
44.19	29.8
68.59	23.9